Entry 1:
For RbNa2SnBr8, a structure optimized by DFT (PBE) gives the calculated powder diffraction line list in this record (Cu Kα (weighted mean of Kα1 and Kα2)).
Lines closer than 0.1° are merged.

Atomic structure:
```
RbNa2SnBr8
1.0
6.207 0.000 0.000
-0.337 7.012 0.000
-0.025 -0.007 9.804
Rb Na Sn Br
1 2 1 8
Direct
0.000 0.000 0.000 Rb
0.499 0.500 0.725 Na
0.501 0.500 0.275 Na
0.000 0.000 0.500 Sn
0.233 0.854 0.303 Br
0.235 0.856 0.698 Br
0.242 0.324 0.499 Br
0.251 0.491 0.000 Br
0.749 0.509 0.000 Br
0.758 0.676 0.501 Br
0.765 0.144 0.302 Br
0.767 0.146 0.697 Br
```

Largest 10 diffraction maxima, low angle first, 10° ≤ 2θ ≤ 90°:
6.200 Å, I 32
5.704 Å, I 45
4.538 Å, I 57
3.415 Å, I 100
2.991 Å, I 52
2.488 Å, I 83
2.451 Å, I 34
2.422 Å, I 54
1.901 Å, I 30
1.818 Å, I 35

Entry 2:
For LiRh5Se8, a structure optimized by DFT (PBE) gives the calculated powder diffraction line list in this record (Cu Kα (weighted mean of Kα1 and Kα2)).
Lines closer than 0.1° are merged.

Atomic structure:
```
LiRh5Se8
1.0
0.000 5.236 5.236
5.236 0.000 5.236
5.236 5.236 0.000
Li Rh Se
1 5 8
Direct
0.000 0.000 0.000 Li
0.118 0.627 0.627 Rh
0.250 0.250 0.250 Rh
0.627 0.118 0.627 Rh
0.627 0.627 0.118 Rh
0.627 0.627 0.627 Rh
0.384 0.384 0.384 Se
0.384 0.384 0.847 Se
0.384 0.847 0.384 Se
0.412 0.863 0.863 Se
0.847 0.384 0.384 Se
0.863 0.412 0.863 Se
0.863 0.863 0.412 Se
0.863 0.863 0.863 Se
```

Largest 10 diffraction maxima, low angle first, 10° ≤ 2θ ≤ 90°:
6.046 Å, I 52
3.157 Å, I 57
2.618 Å, I 96
2.015 Å, I 42
1.851 Å, I 100
1.770 Å, I 12
1.511 Å, I 21
1.363 Å, I 12
1.309 Å, I 14
1.171 Å, I 24

Entry 3:
For Ca3SmHg6, a structure optimized by DFT (PBE) gives the calculated powder diffraction line list in this record (Cu Kα (weighted mean of Kα1 and Kα2)).
Lines closer than 0.1° are merged.

Atomic structure:
```
Ca3SmHg6
1.0
9.261 0.000 0.000
0.000 5.273 0.000
-3.097 0.000 10.800
Ca Sm Hg
6 2 12
Direct
0.029 0.250 0.393 Ca
0.150 0.750 0.200 Ca
0.264 0.250 0.999 Ca
0.736 0.750 0.001 Ca
0.850 0.250 0.800 Ca
0.971 0.750 0.607 Ca
0.439 0.250 0.617 Sm
0.561 0.750 0.383 Sm
0.043 0.750 0.905 Hg
0.144 0.250 0.703 Hg
0.262 0.750 0.492 Hg
0.345 0.250 0.319 Hg
0.357 0.750 0.796 Hg
0.437 0.750 0.093 Hg
0.563 0.250 0.907 Hg
0.643 0.250 0.204 Hg
0.655 0.750 0.681 Hg
0.738 0.250 0.508 Hg
0.856 0.750 0.297 Hg
0.957 0.250 0.095 Hg
```

Largest 10 diffraction maxima, low angle first, 10° ≤ 2θ ≤ 90°:
3.767 Å, I 19
3.742 Å, I 30
2.664 Å, I 100
2.656 Å, I 47
2.645 Å, I 100
2.636 Å, I 51
1.871 Å, I 34
1.532 Å, I 19
1.528 Å, I 43
1.524 Å, I 19

Entry 4:
For Pr2Nd9Tm, a structure optimized by DFT (PBE) gives the calculated powder diffraction line list in this record (Cu Kα (weighted mean of Kα1 and Kα2)).
Lines closer than 0.1° are merged.

Atomic structure:
```
Pr2Nd9Tm
1.0
5.190 0.000 0.000
0.000 5.190 0.000
0.000 0.000 15.555
Pr Nd Tm
2 9 1
Direct
0.000 0.000 0.169 Pr
0.000 0.000 0.831 Pr
0.000 0.500 0.000 Nd
0.000 0.500 0.336 Nd
0.000 0.500 0.664 Nd
0.500 0.000 0.000 Nd
0.500 0.000 0.336 Nd
0.500 0.000 0.664 Nd
0.500 0.500 0.168 Nd
0.500 0.500 0.500 Nd
0.500 0.500 0.832 Nd
0.000 0.000 0.500 Tm
```

Largest 8 diffraction maxima, low angle first, 10° ≤ 2θ ≤ 90°:
2.995 Å, I 100
2.594 Å, I 51
1.834 Å, I 36
1.564 Å, I 43
1.498 Å, I 12
1.297 Å, I 6
1.190 Å, I 18
1.160 Å, I 16

Entry 5:
For Sr2YGaSn2O7, a structure optimized by DFT (PBE) gives the calculated powder diffraction line list in this record (Cu Kα (weighted mean of Kα1 and Kα2)).
Lines closer than 0.1° are merged.

Atomic structure:
```
Sr2YGaSn2O7
1.0
6.039 0.000 0.000
-0.934 6.507 0.000
-1.766 -3.140 12.073
Sr Y Ga Sn O
4 2 2 4 14
Direct
0.000 0.000 0.000 Sr
0.020 0.118 0.297 Sr
0.451 0.598 0.006 Sr
0.520 0.766 0.338 Sr
0.246 0.268 0.621 Y
0.643 0.877 0.645 Y
0.531 0.189 0.172 Ga
0.971 0.590 0.175 Ga
0.033 0.734 0.486 Sn
0.155 0.740 0.747 Sn
0.701 0.299 0.496 Sn
0.791 0.329 0.835 Sn
0.013 0.412 0.731 O
0.057 0.407 0.473 O
0.261 0.809 0.912 O
0.272 0.597 0.162 O
0.349 0.906 0.507 O
0.434 0.615 0.689 O
0.499 0.163 0.725 O
0.619 0.135 0.318 O
0.694 0.618 0.487 O
0.825 0.777 0.109 O
0.839 0.298 0.153 O
0.873 0.029 0.818 O
0.916 0.022 0.542 O
0.958 0.744 0.323 O
```

Largest 10 diffraction maxima, low angle first, 10° ≤ 2θ ≤ 90°:
3.253 Å, I 51
3.143 Å, I 100
3.060 Å, I 31
3.003 Å, I 56
2.983 Å, I 47
2.954 Å, I 26
2.872 Å, I 23
2.806 Å, I 57
2.694 Å, I 22
2.373 Å, I 23

Entry 6:
For Ga2Ni4Pt3, a structure optimized by DFT (PBE) gives the calculated powder diffraction line list in this record (Cu Kα (weighted mean of Kα1 and Kα2)).
Lines closer than 0.1° are merged.

Atomic structure:
```
Ga2Ni4Pt3
1.0
-1.359 4.037 6.061
1.359 -4.037 6.061
1.359 4.037 -6.061
Ga Ni Pt
2 4 3
Direct
0.197 0.000 0.197 Ga
0.803 0.000 0.803 Ga
0.071 0.339 0.733 Ni
0.394 0.661 0.733 Ni
0.606 0.339 0.267 Ni
0.929 0.661 0.267 Ni
0.297 0.797 0.500 Pt
0.500 0.500 0.000 Pt
0.703 0.203 0.500 Pt
```

Largest 10 diffraction maxima, low angle first, 10° ≤ 2θ ≤ 90°:
6.720 Å, I 86
2.627 Å, I 35
2.424 Å, I 18
2.370 Å, I 78
2.322 Å, I 30
2.019 Å, I 43
1.969 Å, I 100
1.824 Å, I 14
1.801 Å, I 27
1.353 Å, I 21

Entry 7:
For Al2OsO, a structure optimized by DFT (PBE) gives the calculated powder diffraction line list in this record (Cu Kα (weighted mean of Kα1 and Kα2)).
Lines closer than 0.1° are merged.

Atomic structure:
```
Al2OsO
1.0
5.698 0.000 0.000
0.000 5.698 0.000
0.000 0.000 6.598
Al Os O
8 4 4
Direct
0.163 0.750 0.125 Al
0.250 0.163 0.875 Al
0.250 0.337 0.375 Al
0.337 0.750 0.625 Al
0.663 0.250 0.625 Al
0.750 0.663 0.375 Al
0.750 0.837 0.875 Al
0.837 0.250 0.125 Al
0.000 0.000 0.500 Os
0.000 0.500 0.750 Os
0.500 0.000 0.250 Os
0.500 0.500 0.000 Os
0.000 0.000 0.000 O
0.000 0.500 0.250 O
0.500 0.000 0.750 O
0.500 0.500 0.500 O
```

Largest 10 diffraction maxima, low angle first, 10° ≤ 2θ ≤ 90°:
4.312 Å, I 94
2.849 Å, I 42
2.552 Å, I 100
2.377 Å, I 70
2.052 Å, I 22
2.014 Å, I 30
1.825 Å, I 19
1.665 Å, I 16
1.581 Å, I 44
1.427 Å, I 22

Entry 8:
For Ho3Tl4HgTe8, a structure optimized by DFT (PBE) gives the calculated powder diffraction line list in this record (Cu Kα (weighted mean of Kα1 and Kα2)).
Lines closer than 0.1° are merged.

Atomic structure:
```
Ho3Tl4HgTe8
1.0
4.464 2.577 7.936
-4.464 2.577 7.936
0.000 -5.154 7.936
Ho Tl Hg Te
3 4 1 8
Direct
0.000 0.500 0.500 Ho
0.500 0.000 0.500 Ho
0.500 0.500 0.000 Ho
0.000 0.000 0.500 Tl
0.000 0.500 0.000 Tl
0.500 0.000 0.000 Tl
0.500 0.500 0.500 Tl
0.000 0.000 0.000 Hg
0.242 0.242 0.734 Te
0.242 0.734 0.242 Te
0.261 0.261 0.261 Te
0.266 0.758 0.758 Te
0.734 0.242 0.242 Te
0.739 0.739 0.739 Te
0.758 0.266 0.758 Te
0.758 0.758 0.266 Te
```

Largest 10 diffraction maxima, low angle first, 10° ≤ 2θ ≤ 90°:
3.242 Å, I 100
2.358 Å, I 38
2.232 Å, I 37
1.984 Å, I 7
1.838 Å, I 20
1.621 Å, I 12
1.483 Å, I 16
1.419 Å, I 17
1.312 Å, I 12
1.289 Å, I 6

Entry 9:
For Li7Ag12Sn, a structure optimized by DFT (PBE) gives the calculated powder diffraction line list in this record (Cu Kα (weighted mean of Kα1 and Kα2)).
Lines closer than 0.1° are merged.

Atomic structure:
```
Li7Ag12Sn
1.0
5.114 2.953 4.107
-5.114 2.953 4.107
0.000 -5.905 4.107
Li Ag Sn
7 12 1
Direct
0.000 0.000 0.000 Li
0.115 0.329 0.479 Li
0.329 0.479 0.115 Li
0.479 0.115 0.329 Li
0.521 0.885 0.671 Li
0.671 0.521 0.885 Li
0.885 0.671 0.521 Li
0.007 0.332 0.903 Ag
0.097 0.993 0.668 Ag
0.216 0.624 0.753 Ag
0.247 0.784 0.376 Ag
0.332 0.903 0.007 Ag
0.376 0.247 0.784 Ag
0.624 0.753 0.216 Ag
0.668 0.097 0.993 Ag
0.753 0.216 0.624 Ag
0.784 0.376 0.247 Ag
0.903 0.007 0.332 Ag
0.993 0.668 0.097 Ag
0.500 0.500 0.500 Sn
```

Largest 10 diffraction maxima, low angle first, 10° ≤ 2θ ≤ 90°:
5.114 Å, I 30
5.058 Å, I 68
4.168 Å, I 26
4.107 Å, I 36
2.409 Å, I 100
2.397 Å, I 34
2.374 Å, I 25
2.282 Å, I 39
2.267 Å, I 58
2.153 Å, I 32